(1)
Starting from a cell relaxed with GGA+U, the powder XRD pattern of MgCo5SbO8 was simulated for Cu Kα (weighted mean of Kα1 and Kα2).
Peak positions follow from Bragg's law for the DFT cell and can differ from measured ones.

Cell and atoms:
abc: 10.5677 6.0620 6.5906
angles: 90.00 125.74 90.00
Space group C2/m (No. 12)
Unique sites:
Mg: 0.0000 0.0000 0.0000 [2 per cell]
Co: 0.0000 0.5000 0.5000 [2 per cell]
Co: 0.1879 0.0000 0.4655 [4 per cell]
Co: 0.2500 0.2500 0.0000 [4 per cell]
Sb: 0.0000 0.5000 0.0000 [2 per cell]
O: 0.0070 0.2593 0.2251 [8 per cell]
O: 0.2337 0.5000 0.1895 [4 per cell]
O: 0.2437 0.5000 0.7680 [4 per cell]

Top 10 peaks for 5 to 70 degrees two-theta, by angle:
2θ/deg, intensity
16.57, 51
17.92, 88
33.10, 75
33.51, 70
34.41, 100
34.69, 82
40.46, 86
42.14, 72
45.24, 59
52.14, 58



(2)
Starting from a cell relaxed with GGA+U, the powder XRD pattern of Sr3Ca5Ti3Mn5O24 was simulated for Cu Kα (weighted mean of Kα1 and Kα2).
Peak positions follow from Bragg's law for the DFT cell and can differ from measured ones.

Cell and atoms:
abc: 7.6994 7.7319 7.7343
angles: 90.00 89.99 89.99
Space group P1 (No. 1)
Unique sites:
Sr: 0.0000 0.0000 0.0000 [1 per cell]
Sr: 0.0005 0.9999 0.5029 [1 per cell]
Sr: 0.4911 0.0000 0.9999 [1 per cell]
Ca: 0.0033 0.4961 0.5039 [1 per cell]
Ca: 0.0035 0.4961 0.9992 [1 per cell]
Ca: 0.4874 0.4961 0.9992 [1 per cell]
Ca: 0.4882 0.0008 0.5037 [1 per cell]
Ca: 0.4876 0.4959 0.5039 [1 per cell]
Ti: 0.7441 0.2510 0.2530 [1 per cell]
Ti: 0.7441 0.7440 0.7506 [1 per cell]
Ti: 0.7440 0.7458 0.2524 [1 per cell]
Mn: 0.2458 0.2505 0.2523 [1 per cell]
Mn: 0.2460 0.2500 0.7509 [1 per cell]
Mn: 0.2458 0.7463 0.2522 [1 per cell]
Mn: 0.2458 0.7462 0.7508 [1 per cell]
Mn: 0.7446 0.2496 0.7511 [1 per cell]
O: 0.2460 0.2562 0.0014 [1 per cell]
O: 0.2458 0.4981 0.2520 [1 per cell]
O: 0.2461 0.4984 0.7509 [1 per cell]
O: 0.2458 0.7406 0.0012 [1 per cell]
O: 0.2492 0.2532 0.5015 [1 per cell]
O: 0.2494 0.9986 0.7478 [1 per cell]
O: 0.2496 0.7437 0.5018 [1 per cell]
O: 0.2496 0.9987 0.2552 [1 per cell]
O: 0.4922 0.2522 0.2536 [1 per cell]
O: 0.4922 0.7447 0.2536 [1 per cell]
O: 0.4922 0.7447 0.7493 [1 per cell]
O: 0.4956 0.2530 0.7478 [1 per cell]
O: 0.7432 0.0018 0.7491 [1 per cell]
O: 0.7434 0.2523 0.5047 [1 per cell]
O: 0.7439 0.7449 0.5017 [1 per cell]
O: 0.7437 0.9988 0.2534 [1 per cell]
O: 0.7447 0.2538 0.9982 [1 per cell]
O: 0.7447 0.4951 0.7506 [1 per cell]
O: 0.7447 0.4982 0.2524 [1 per cell]
O: 0.7448 0.7440 0.0012 [1 per cell]
O: 0.9956 0.2562 0.7510 [1 per cell]
O: 0.9989 0.2537 0.2522 [1 per cell]
O: 0.9990 0.7433 0.2523 [1 per cell]
O: 0.9989 0.7432 0.7507 [1 per cell]

Top 10 peaks for 5 to 70 degrees two-theta, by angle:
2θ/deg, intensity
11.45, 6
25.80, 5
32.80, 100
40.47, 12
47.00, 32
47.22, 15
58.52, 24
58.66, 12
68.66, 9
68.83, 17



(3)
Starting from a cell relaxed with GGA+U, the powder XRD pattern of Fe2CuH4O2F8 was simulated for Cu Kα (weighted mean of Kα1 and Kα2).
Peak positions follow from Bragg's law for the DFT cell and can differ from measured ones.

Cell and atoms:
abc: 7.6360 7.6417 13.1984
angles: 90.00 90.62 90.00
Space group C2/c (No. 15)
Unique sites:
Fe: 0.2502 0.0442 0.2472 [8 per cell]
Cu: 0.2500 0.2500 0.5000 [4 per cell]
H: 0.0764 0.3331 0.9592 [8 per cell]
H: 0.0806 0.1710 0.0380 [8 per cell]
O: 0.0047 0.2499 0.9982 [8 per cell]
F: 0.0000 0.0084 0.7500 [4 per cell]
F: 0.0000 0.3986 0.7500 [4 per cell]
F: 0.1956 0.2970 0.2319 [8 per cell]
F: 0.2466 0.0772 0.3938 [8 per cell]
F: 0.2470 0.4673 0.8992 [8 per cell]

Top 10 peaks for 5 to 70 degrees two-theta, by angle:
2θ/deg, intensity
13.42, 20
17.74, 41
23.30, 60
24.25, 17
26.99, 100
37.81, 16
47.63, 23
47.71, 18
54.12, 13
55.73, 18